# LiFe6O4F8
Computed X-ray diffraction stick pattern, Cu Kα. Input: DFT lattice parameters and positions (PBE+U).
No peak broadening, texture or thermal motion is included.

Structural model:
```
data_LiFe6O4F8
_chemical_formula_sum 'Li1 Fe6 O4 F8'
_symmetry_space_group_name_H-M 'P 1'
_symmetry_Int_Tables_number 1
_symmetry_space_group_name_Hall 'P 1'
_cell_length_a 5.797
_cell_length_b 5.817
_cell_length_c 7.870
_cell_angle_alpha 68.65
_cell_angle_beta 68.72
_cell_angle_gamma 70.11
loop_
_atom_site_label
_atom_site_fract_x
_atom_site_fract_y
_atom_site_fract_z
Li1 0.000 0.000 0.000
Fe1 0.017 0.479 0.495
Fe2 0.310 0.851 0.658
Fe3 0.339 0.849 0.185
Fe4 0.658 0.148 0.817
Fe5 0.662 0.197 0.324
Fe6 0.973 0.506 0.009
O1 0.028 0.150 0.168
O2 0.316 0.179 0.485
O3 0.626 0.539 0.162
O4 0.969 0.851 0.829
F1 0.075 0.635 0.185
F2 0.244 0.715 0.485
F3 0.367 0.470 0.833
F4 0.391 0.942 0.860
F5 0.609 0.063 0.128
F6 0.701 0.789 0.513
F7 0.754 0.272 0.522
F8 0.916 0.368 0.811
```

Largest 6 diffraction maxima, by angle, 10° ≤ 2θ ≤ 90°:
2theta  I_rel
24.6  100.0
26.7  97.9
34.3  58.9
34.3  57.6
49.9  46.3
52.3  32.2

=====

# Li2FeO2F
Computed X-ray diffraction stick pattern, Cu Kα. Input: DFT lattice parameters and positions (PBE+U).
No peak broadening, texture or thermal motion is included.

Structural model:
```
data_Li2FeO2F
_chemical_formula_sum 'Li8 Fe4 O8 F4'
_symmetry_space_group_name_H-M 'C 1 c 1'
_symmetry_Int_Tables_number 9
_symmetry_space_group_name_Hall 'C -2yc'
_cell_length_a 5.329
_cell_length_b 8.729
_cell_length_c 5.232
_cell_angle_alpha 90.00
_cell_angle_beta 113.61
_cell_angle_gamma 90.00
loop_
_atom_site_label
_atom_site_fract_x
_atom_site_fract_y
_atom_site_fract_z
Li1 0.000 0.083 0.000
Li2 0.031 0.249 0.467
Fe1 0.059 0.398 0.969
O1 0.246 0.427 0.723
O2 0.276 0.244 0.227
F1 0.283 0.082 0.701
```

Largest 6 diffraction maxima, by angle, 10° ≤ 2θ ≤ 90°:
2theta  I_rel
20.8  100.0
22.6  40.0
27.6  68.7
40.9  49.2
44.2  79.2
62.2  22.6

=====

# LiFe8O12F4
Computed X-ray diffraction stick pattern, Cu Kα. Input: DFT lattice parameters and positions (PBE+U).
No peak broadening, texture or thermal motion is included.

Structural model:
```
data_LiFe8O12F4
_chemical_formula_sum 'Li1 Fe8 O12 F4'
_symmetry_space_group_name_H-M 'P 1'
_symmetry_Int_Tables_number 1
_symmetry_space_group_name_Hall 'P 1'
_cell_length_a 5.986
_cell_length_b 6.441
_cell_length_c 7.920
_cell_angle_alpha 89.89
_cell_angle_beta 67.84
_cell_angle_gamma 89.85
loop_
_atom_site_label
_atom_site_fract_x
_atom_site_fract_y
_atom_site_fract_z
Li1 0.000 0.000 0.000
Fe1 0.217 0.244 0.726
Fe2 0.221 0.238 0.236
Fe3 0.460 0.740 0.250
Fe4 0.486 0.738 0.695
Fe5 0.680 0.241 0.308
Fe6 0.713 0.233 0.748
Fe7 0.956 0.729 0.270
Fe8 0.957 0.728 0.746
O1 0.207 0.930 0.750
O2 0.219 0.545 0.736
O3 0.276 0.741 0.102
O4 0.462 0.433 0.253
O5 0.467 0.046 0.251
O6 0.552 0.233 0.573
O7 0.620 0.737 0.426
O8 0.709 0.540 0.742
O9 0.712 0.927 0.744
O10 0.895 0.234 0.898
O11 0.955 0.428 0.257
O12 0.956 0.043 0.248
F1 0.065 0.235 0.535
F2 0.109 0.739 0.460
F3 0.357 0.230 0.946
F4 0.816 0.746 0.049
```

Largest 6 diffraction maxima, by angle, 10° ≤ 2θ ≤ 90°:
2theta  I_rel
24.3  100.0
27.7  83.1
35.3  85.0
50.2  48.9
54.0  23.3
65.7  24.2

=====

# Li2FeO2F
Computed X-ray diffraction stick pattern, Cu Kα. Input: DFT lattice parameters and positions (PBE+U).
No peak broadening, texture or thermal motion is included.

Structural model:
```
data_Li2FeO2F
_chemical_formula_sum 'Li4 Fe2 O4 F2'
_symmetry_space_group_name_H-M 'P -3 m 1'
_symmetry_Int_Tables_number 164
_symmetry_space_group_name_Hall '-P 3 2"'
_cell_length_a 2.9674
_cell_length_b 2.9674
_cell_length_c 14.4911
_cell_angle_alpha 90.00
_cell_angle_beta 90.00
_cell_angle_gamma 120.00
loop_
_atom_site_label
_atom_site_fract_x
_atom_site_fract_y
_atom_site_fract_z
Li1 0.0000 0.0000 0.0000
Li2 0.0000 0.0000 0.5000
Li3 0.3333 0.6667 0.3389
Fe1 0.3333 0.6667 0.8312
O1 0.0000 0.0000 0.2466
O2 0.3333 0.6667 0.0909
F1 0.3333 0.6667 0.5809
```

Largest 6 diffraction maxima, by angle, 10° ≤ 2θ ≤ 90°:
2theta  I_rel
12.2  41.0
18.4  73.5
35.5  43.6
43.2  100.0
62.6  26.1
62.8  26.4

=====

# LiFe2O2F3
Computed X-ray diffraction stick pattern, Cu Kα. Input: DFT lattice parameters and positions (PBE+U).
No peak broadening, texture or thermal motion is included.

Structural model:
```
data_LiFe2O2F3
_chemical_formula_sum 'Li2 Fe4 O4 F6'
_symmetry_space_group_name_H-M 'P 1'
_symmetry_Int_Tables_number 1
_symmetry_space_group_name_Hall 'P 1'
_cell_length_a 5.115
_cell_length_b 5.937
_cell_length_c 7.106
_cell_angle_alpha 71.04
_cell_angle_beta 89.61
_cell_angle_gamma 64.74
loop_
_atom_site_label
_atom_site_fract_x
_atom_site_fract_y
_atom_site_fract_z
Li1 0.000 0.000 0.000
Li2 0.051 0.902 0.490
Fe1 0.411 0.320 0.648
Fe2 0.441 0.330 0.145
Fe3 0.791 0.561 0.886
Fe4 0.837 0.544 0.392
O1 0.252 0.342 0.383
O2 0.609 0.328 0.885
O3 0.662 0.527 0.156
O4 0.998 0.551 0.649
F1 0.074 0.683 0.975
F2 0.178 0.192 0.054
F3 0.439 0.680 0.484
F4 0.481 0.938 0.772
F5 0.790 0.937 0.265
F6 0.822 0.188 0.564
```

Largest 6 diffraction maxima, by angle, 10° ≤ 2θ ≤ 90°:
2theta  I_rel
17.7  100.0
26.4  30.8
30.5  40.1
30.7  39.6
31.9  23.5
32.1  23.2

=====

# Li7FeO4F2
Computed X-ray diffraction stick pattern, Cu Kα. Input: DFT lattice parameters and positions (PBE+U).
No peak broadening, texture or thermal motion is included.

Structural model:
```
data_Li7FeO4F2
_chemical_formula_sum 'Li14 Fe2 O8 F4'
_symmetry_space_group_name_H-M 'P 1'
_symmetry_Int_Tables_number 1
_symmetry_space_group_name_Hall 'P 1'
_cell_length_a 5.527
_cell_length_b 5.895
_cell_length_c 9.945
_cell_angle_alpha 74.56
_cell_angle_beta 88.29
_cell_angle_gamma 62.54
loop_
_atom_site_label
_atom_site_fract_x
_atom_site_fract_y
_atom_site_fract_z
Li1 0.000 0.000 0.000
Li2 0.000 0.349 0.421
Li3 0.432 0.052 0.837
Li4 0.433 0.352 0.263
Li5 0.447 0.704 0.705
Li6 0.471 0.321 0.632
Li7 0.473 0.057 0.496
Li8 0.500 0.341 0.938
Li9 0.530 0.940 0.149
Li10 0.941 0.047 0.631
Li11 0.944 0.378 0.108
Li12 0.944 0.973 0.323
Li13 0.959 0.323 0.759
Li14 0.982 0.657 0.557
Fe1 0.472 0.678 0.425
Fe2 0.907 0.683 0.858
O1 0.181 0.934 0.501
O2 0.233 0.459 0.769
O3 0.292 0.452 0.435
O4 0.637 0.903 0.345
O5 0.667 0.926 0.684
O6 0.725 0.902 0.981
O7 0.754 0.438 0.583
O8 0.800 0.412 0.920
F1 0.162 0.948 0.815
F2 0.169 0.955 0.173
F3 0.287 0.383 0.088
F4 0.761 0.387 0.270
```

Largest 6 diffraction maxima, by angle, 10° ≤ 2θ ≤ 90°:
2theta  I_rel
18.6  80.8
19.3  87.5
19.5  99.7
35.4  100.0
37.0  84.9
37.5  73.8

=====

# LiFe8O14F2
Computed X-ray diffraction stick pattern, Cu Kα. Input: DFT lattice parameters and positions (PBE+U).
No peak broadening, texture or thermal motion is included.

Structural model:
```
data_LiFe8O14F2
_chemical_formula_sum 'Li1 Fe8 O14 F2'
_symmetry_space_group_name_H-M 'P 1'
_symmetry_Int_Tables_number 1
_symmetry_space_group_name_Hall 'P 1'
_cell_length_a 5.049
_cell_length_b 5.066
_cell_length_c 11.640
_cell_angle_alpha 89.31
_cell_angle_beta 89.42
_cell_angle_gamma 79.91
loop_
_atom_site_label
_atom_site_fract_x
_atom_site_fract_y
_atom_site_fract_z
Li1 0.000 0.000 0.000
Fe1 0.132 0.111 0.624
Fe2 0.264 0.269 0.135
Fe3 0.268 0.270 0.386
Fe4 0.284 0.276 0.875
Fe5 0.675 0.727 0.754
Fe6 0.677 0.678 0.005
Fe7 0.692 0.695 0.254
Fe8 0.700 0.693 0.507
O1 0.013 0.386 0.505
O2 0.019 0.380 0.004
O3 0.034 0.413 0.259
O4 0.372 0.025 0.754
O5 0.380 0.022 0.007
O6 0.397 0.014 0.502
O7 0.412 0.038 0.259
O8 0.513 0.517 0.126
O9 0.516 0.527 0.880
O10 0.524 0.526 0.381
O11 0.532 0.560 0.640
O12 0.838 0.847 0.883
O13 0.841 0.840 0.118
O14 0.876 0.877 0.633
F1 0.875 0.868 0.380
F2 0.996 0.391 0.755
```

Largest 6 diffraction maxima, by angle, 10° ≤ 2θ ≤ 90°:
2theta  I_rel
22.9  100.0
27.5  85.4
35.6  30.1
35.9  33.0
54.2  21.2
56.7  20.6

=====

# Li2FeOF3
Computed X-ray diffraction stick pattern, Cu Kα. Input: DFT lattice parameters and positions (PBE+U).
No peak broadening, texture or thermal motion is included.

Structural model:
```
data_Li2FeOF3
_chemical_formula_sum 'Li8 Fe4 O4 F12'
_symmetry_space_group_name_H-M 'C 1 2/m 1'
_symmetry_Int_Tables_number 12
_symmetry_space_group_name_Hall '-C 2y'
_cell_length_a 10.301
_cell_length_b 5.987
_cell_length_c 5.955
_cell_angle_alpha 90.00
_cell_angle_beta 124.11
_cell_angle_gamma 90.00
loop_
_atom_site_label
_atom_site_fract_x
_atom_site_fract_y
_atom_site_fract_z
Li1 0.000 0.000 0.000
Li2 0.000 0.000 0.500
Li3 0.124 0.500 0.406
Fe1 0.250 0.250 0.000
O1 0.245 0.000 0.193
F1 0.012 0.237 0.756
F2 0.246 0.000 0.744
```

Largest 6 diffraction maxima, by angle, 10° ≤ 2θ ≤ 90°:
2theta  I_rel
18.0  91.1
18.4  100.0
20.8  44.4
35.3  45.9
42.4  41.8
42.8  78.7